(1)
# Nd3InB2Pt9
Calculated X-ray powder pattern, CuKα. Input: a structure optimized by DFT (GGA-PBE).
Neutral-atom scattering factors, no anomalous dispersion.

Most intense lines, 10° ≤ 2θ ≤ 80°, low angle first:
28.08 deg, rel. 31, (0 0 3)
33.30 deg, rel. 16, (0 1 3)
36.78 deg, rel. 100, (0 2 1)
37.75 deg, rel. 16, (0 0 4)
40.38 deg, rel. 89, (2 0 2)
45.87 deg, rel. 15, (2 0 3)
63.76 deg, rel. 27, (2 2 0)
69.93 deg, rel. 14, (2 0 6)
71.07 deg, rel. 14, (2 2 3)
78.23 deg, rel. 17, (0 4 2)

Cell and atoms:
Unit cell a=5.8391 b=5.8391 c=9.5329 alpha=90.00 beta=90.00 gamma=120.00
Space group P-3m1 (No. 164)
Unique sites:
Nd 0.0000 0.0000 0.0000 x1
Nd 0.3333 0.6667 0.6238 x2
In 0.0000 0.0000 0.5000 x1
B 0.3333 0.6667 0.1438 x2
Pt 0.0000 0.5000 0.0000 x3
Pt 0.1666 0.3332 0.2769 x6

(2)
# KNa2In8
Calculated X-ray powder pattern, CuKα. Input: a structure optimized by DFT (GGA-PBE).
Neutral-atom scattering factors, no anomalous dispersion.

Most intense lines, 10° ≤ 2θ ≤ 80°, low angle first:
11.01 deg, rel. 10, (0 0 2)
16.54 deg, rel. 16, (0 0 3)
27.91 deg, rel. 11, (1 1 0)
32.61 deg, rel. 100, (1 1 3)
33.44 deg, rel. 18, (0 0 6)
35.89 deg, rel. 11, (1 1 4)
39.88 deg, rel. 31, (2 0 0)
53.00 deg, rel. 19, (2 0 6)
57.67 deg, rel. 10, (2 2 0)
67.84 deg, rel. 22, (3 1 3)

Cell and atoms:
Unit cell a=4.5213 b=4.5213 c=16.0779 alpha=90.00 beta=90.00 gamma=90.00
Space group P4/mmm (No. 123)
Unique sites:
K 0.0000 0.0000 0.0000 x1
Na 0.0000 0.0000 0.3461 x2
In 0.0000 0.5000 0.1878 x4
In 0.0000 0.5000 0.5000 x2
In 0.5000 0.5000 0.3395 x2